(1)
The following is a calculated X-ray diffraction stick pattern of ZrTcW. It was derived from a cell relaxed with PBE, using Cu Kα, 1.54184 Å.

Top 10 peaks for 5 to 70 degrees two-theta, sorted by position:
2θ (°)  I_rel  h k l
20.22  55  0 1 1
33.75  21  1 1 2
38.94  45  1 2 1
39.38  100  2 1 1
40.23  45  0 1 3
40.37  22  1 0 3
41.10  59  0 2 2
41.66  53  2 0 2
62.94  25  2 3 1
63.50  22  0 3 3

Atomic structure:
```
data_ZrTcW
_chemical_formula_sum 'Zr4 Tc4 W4'
_cell_length_a 5.3615
_cell_length_b 5.4685
_cell_length_c 7.3727
_cell_angle_alpha 90.00
_cell_angle_beta 90.00
_cell_angle_gamma 90.00
_symmetry_space_group_name_H-M 'I m m a'
_symmetry_Int_Tables_number 74
_symmetry_space_group_name_Hall '-I 2b 2'
loop_
_atom_site_label
_atom_site_fract_x
_atom_site_fract_y
_atom_site_fract_z
Zr1 0.0000 0.2500 0.1286
Tc1 0.0000 0.0000 0.5000
W1 0.2500 0.2500 0.7500
```

(2)
The following is a calculated X-ray diffraction stick pattern of LiTb2SmCd4. It was derived from a cell relaxed with PBE, using Cu Kα, 1.54184 Å.

Top 10 peaks for 5 to 70 degrees two-theta, sorted by position:
2θ (°)  I_rel  h k l
10.27  7  0 0 3
19.93  9  1 0 1
20.81  9  0 1 2
26.18  10  0 1 5
34.10  98  0 1 8
34.35  100  1 1 0
49.18  35  2 0 8
60.88  16  1 0 16
61.36  35  1 2 8
61.52  18  3 0 0

Atomic structure:
```
data_LiTb2SmCd4
_chemical_formula_sum 'Li3 Tb6 Sm3 Cd12'
_cell_length_a 5.2217
_cell_length_b 5.2217
_cell_length_c 25.8522
_cell_angle_alpha 90.00
_cell_angle_beta 90.00
_cell_angle_gamma 120.00
_symmetry_space_group_name_H-M 'R -3 m'
_symmetry_Int_Tables_number 166
_symmetry_space_group_name_Hall '-R 3 2"'
loop_
_atom_site_label
_atom_site_fract_x
_atom_site_fract_y
_atom_site_fract_z
Li1 0.0000 0.0000 0.0000
Tb1 0.0000 0.0000 0.2523
Sm1 0.0000 0.0000 0.5000
Cd1 0.0000 0.0000 0.1183
Cd2 0.0000 0.0000 0.3731
```

(3)
The following is a calculated X-ray diffraction stick pattern of La3CeTl4S8. It was derived from a cell relaxed with PBE, using Cu Kα, 1.54184 Å.

Top 10 peaks for 5 to 70 degrees two-theta, sorted by position:
2θ (°)  I_rel  h k l
23.91  26  0 0 6
25.38  62  2 0 2
28.97  100  0 2 4
40.49  37  2 0 8
42.34  36  2 2 0
47.57  15  0 2 10
49.21  24  2 2 6
52.12  19  4 0 4
66.68  15  2 2 12
69.32  16  2 4 4

Atomic structure:
```
data_La3CeTl4S8
_chemical_formula_sum 'La9 Ce3 Tl12 S24'
_cell_length_a 8.5385
_cell_length_b 8.5385
_cell_length_c 22.3304
_cell_angle_alpha 90.00
_cell_angle_beta 90.00
_cell_angle_gamma 120.00
_symmetry_space_group_name_H-M 'R -3 m'
_symmetry_Int_Tables_number 166
_symmetry_space_group_name_Hall '-R 3 2"'
loop_
_atom_site_label
_atom_site_fract_x
_atom_site_fract_y
_atom_site_fract_z
La1 0.0000 0.5000 0.0000
Ce1 0.0000 0.0000 0.0000
Tl1 0.0000 0.0000 0.5000
Tl2 0.0000 0.5000 0.5000
S1 0.0000 0.0000 0.2652
S2 0.0037 0.5018 0.7345
```

(4)
The following is a calculated X-ray diffraction stick pattern of YSi7. It was derived from a cell relaxed with PBE, using Cu Kα, 1.54184 Å.

Top 10 peaks for 5 to 70 degrees two-theta, sorted by position:
2θ (°)  I_rel  h k l
19.04  27  1 1 1
22.01  15  2 0 0
31.33  12  2 2 0
36.92  16  3 1 1
38.62  100  2 2 2
44.90  48  4 0 0
49.18  7  3 3 1
50.55  6  4 2 0
59.48  5  5 1 1
65.37  31  4 4 0

Atomic structure:
```
data_YSi7
_chemical_formula_sum 'Y4 Si28'
_cell_length_a 8.0754
_cell_length_b 8.0754
_cell_length_c 8.0754
_cell_angle_alpha 90.00
_cell_angle_beta 90.00
_cell_angle_gamma 90.00
_symmetry_space_group_name_H-M 'F m -3 m'
_symmetry_Int_Tables_number 225
_symmetry_space_group_name_Hall '-F 4 2 3'
loop_
_atom_site_label
_atom_site_fract_x
_atom_site_fract_y
_atom_site_fract_z
Y1 0.0000 0.0000 0.0000
Si1 0.0000 0.0000 0.5000
Si2 0.0000 0.2500 0.2500
```

(5)
The following is a calculated X-ray diffraction stick pattern of KCa2GaS4. It was derived from a cell relaxed with PBE, using Cu Kα, 1.54184 Å.

Top 10 peaks for 5 to 70 degrees two-theta, sorted by position:
2θ (°)  I_rel  h k l
13.35  12  1 0 1
25.34  10  1 2 1
30.73  100  2 2 0
31.52  35  0 0 4
43.69  17  0 4 0
44.33  16  4 0 0
44.60  48  2 2 4
54.86  12  0 4 4
55.40  12  4 0 4
64.00  10  4 4 0

Atomic structure:
```
data_KCa2GaS4
_chemical_formula_sum 'K4 Ca8 Ga4 S16'
_cell_length_a 8.1735
_cell_length_b 8.2867
_cell_length_c 11.3537
_cell_angle_alpha 90.00
_cell_angle_beta 90.00
_cell_angle_gamma 90.00
_symmetry_space_group_name_H-M 'I m m a'
_symmetry_Int_Tables_number 74
_symmetry_space_group_name_Hall '-I 2b 2'
loop_
_atom_site_label
_atom_site_fract_x
_atom_site_fract_y
_atom_site_fract_z
K1 0.2500 0.2500 0.2500
Ca1 0.0000 0.0000 0.0000
Ca2 0.2500 0.2500 0.7500
Ga1 0.0000 0.0000 0.5000
S1 0.0000 0.0170 0.6998
S2 0.2331 0.2500 0.9907
```

(6)
The following is a calculated X-ray diffraction stick pattern of ErTm4Ga4. It was derived from a cell relaxed with PBE, using Cu Kα, 1.54184 Å.

Top 10 peaks for 5 to 70 degrees two-theta, sorted by position:
2θ (°)  I_rel  h k l
26.98  58  2 1 1
31.61  100  1 3 0
32.14  62  1 0 2
35.21  15  3 1 1
38.06  24  1 2 2
43.28  24  3 0 2
45.31  33  4 2 0
48.04  27  3 2 2
52.46  18  1 4 2
53.53  20  5 0 1

Atomic structure:
```
data_ErTm4Ga4
_chemical_formula_sum 'Er2 Tm8 Ga8'
_cell_length_a 8.9498
_cell_length_b 8.9498
_cell_length_c 5.8607
_cell_angle_alpha 90.00
_cell_angle_beta 90.00
_cell_angle_gamma 90.00
_symmetry_space_group_name_H-M 'P 42/n'
_symmetry_Int_Tables_number 86
loop_
_symmetry_equiv_pos_as_xyz
'x,y,z'
'-x,-y,-z'
'-y,x+1/2,z+1/2'
'y,-x+1/2,-z+1/2'
'-x+1/2,-y+1/2,z'
'x+1/2,y+1/2,-z'
'y+1/2,-x,z+1/2'
'-y+1/2,x,-z+1/2'
loop_
_atom_site_label
_atom_site_fract_x
_atom_site_fract_y
_atom_site_fract_z
Er1 0.2500 0.2500 0.2500
Tm1 0.0692 0.6580 0.1295
Ga1 0.0235 0.6187 0.6200
```

(7)
The following is a calculated X-ray diffraction stick pattern of ErAl4Ni4. It was derived from a cell relaxed with PBE, using Cu Kα, 1.54184 Å.

Top 10 peaks for 5 to 70 degrees two-theta, sorted by position:
2θ (°)  I_rel  h k l
22.90  86  1 0 1
31.02  62  2 2 0
31.83  100  2 1 1
34.79  95  3 1 0
40.87  48  0 0 2
45.04  56  3 2 1
50.57  72  1 4 1
52.19  28  2 2 2
54.74  51  3 1 2
60.52  17  4 3 1

Atomic structure:
```
data_ErAl4Ni4
_chemical_formula_sum 'Er2 Al8 Ni8'
_cell_length_a 8.1537
_cell_length_b 8.1537
_cell_length_c 4.4156
_cell_angle_alpha 90.00
_cell_angle_beta 90.00
_cell_angle_gamma 90.00
_symmetry_space_group_name_H-M 'I 4/m'
_symmetry_Int_Tables_number 87
_symmetry_space_group_name_Hall '-I 4'
loop_
_atom_site_label
_atom_site_fract_x
_atom_site_fract_y
_atom_site_fract_z
Er1 0.0000 0.0000 0.0000
Al1 0.1051 0.6184 0.5000
Ni1 0.1831 0.6907 0.0000
```

(8)
The following is a calculated X-ray diffraction stick pattern of Cs4Te5Br. It was derived from a cell relaxed with PBE, using Cu Kα, 1.54184 Å.

Top 10 peaks for 5 to 70 degrees two-theta, sorted by position:
2θ (°)  I_rel  h k l
22.07  40  1 2 1
22.97  20  0 3 1
23.75  100  1 0 3
29.64  80  1 3 2
30.66  43  2 0 0
36.60  20  1 3 4
36.78  22  0 0 6
41.81  20  0 5 3
48.61  23  2 0 6
52.72  21  2 5 3

Atomic structure:
```
data_Cs4Te5Br
_chemical_formula_sum 'Cs8 Te10 Br2'
_cell_length_a 5.8328
_cell_length_b 12.0444
_cell_length_c 14.6621
_cell_angle_alpha 90.00
_cell_angle_beta 90.00
_cell_angle_gamma 90.00
_symmetry_space_group_name_H-M 'I m m m'
_symmetry_Int_Tables_number 71
_symmetry_space_group_name_Hall '-I 2 2'
loop_
_atom_site_label
_atom_site_fract_x
_atom_site_fract_y
_atom_site_fract_z
Cs1 0.0000 0.0000 0.1717
Cs2 0.0000 0.2055 0.5000
Te1 0.0000 0.3772 0.1833
Te2 0.0000 0.5000 0.0000
Br1 0.0000 0.5000 0.5000
```